# 1
# SrLaGaCuO5
Calculated X-ray powder pattern, Cu Ka. Input: a crystal structure in Alexandria, relaxed with GGA-PBE.

Principal peaks in the range 2θ from 10° to 80°, by angle:
2θ (°)  I/Imax
10.60  32
31.37  100
31.55  96
31.86  54
33.32  58
46.77  54

Structure:
```
18
Lattice="8.749 -2.809 0.000 8.749 2.809 0.000 -1.613 0.000 5.131" Properties=species:S:1:pos:R:3 pbc="T T T"
Sr 7.942 1.502 2.565
Sr 8.749 -1.502 0.000
La 11.378 1.293 3.633
La 12.185 -1.293 1.068
Ga 4.997 1.035 4.241
Ga 5.803 -1.035 1.675
Cu 10.463 1.416 0.542
Cu 9.657 -1.416 3.108
O 0.774 0.002 4.480
O 1.580 -0.002 1.915
O 6.504 1.664 5.057
O 5.442 0.716 2.387
O 4.636 -0.716 4.952
O 12.893 0.974 1.608
O 9.339 0.031 4.391
O 10.145 -0.031 1.826
O 7.310 -1.664 2.492
O 12.086 -0.974 4.174
```

***

# 2
# Sm2Ho4ErTm
Calculated X-ray powder pattern, Cu Ka. Input: a crystal structure in Alexandria, relaxed with GGA-PBE.

Principal peaks in the range 2θ from 10° to 80°, by angle:
2θ (°)  I/Imax
26.96  46
30.49  100
41.15  89
54.20  20
61.55  27
64.72  23

Structure:
```
16
Lattice="-3.384 5.865 6.614 3.384 -5.865 6.614 3.384 5.865 -6.614" Properties=species:S:1:pos:R:3 pbc="T T T"
Sm 0.000 0.000 0.000
Sm -1.692 2.933 3.307
Sm 0.000 5.865 0.000
Sm 1.692 2.933 3.307
Ho 3.384 -0.041 3.278
Ho 1.701 2.933 -0.047
Ho 5.066 2.933 -0.047
Ho 3.384 5.824 -3.278
Ho 0.000 0.041 9.892
Ho -1.682 2.933 6.661
Ho 1.682 2.933 6.661
Ho 0.000 5.906 3.337
Er 3.384 0.000 0.000
Er 0.000 0.000 6.614
Tm 1.692 2.933 -3.307
Tm 1.692 -2.933 3.307
```

***

# 3
# TmCuNi5
Calculated X-ray powder pattern, Cu Ka. Input: a crystal structure in Alexandria, relaxed with GGA-PBE.

Principal peaks in the range 2θ from 10° to 80°, by angle:
2θ (°)  I/Imax
37.55  19
38.35  33
40.60  100
47.65  37
48.48  17
69.83  18

Structure:
```
28
Lattice="7.779 0.000 0.000 0.000 4.790 0.000 0.000 0.000 9.848" Properties=species:S:1:pos:R:3 pbc="T T T"
Tm 1.882 1.198 0.598
Tm 2.008 3.593 5.522
Tm 5.771 1.198 4.326
Tm 5.897 3.593 9.250
Cu 1.095 3.593 8.420
Cu 2.794 1.198 3.496
Cu 4.985 3.593 6.352
Cu 6.684 1.198 1.428
Ni 0.450 3.593 0.939
Ni 0.528 0.025 3.054
Ni 0.528 2.370 3.054
Ni 0.785 1.198 5.110
Ni 1.432 1.198 7.424
Ni 2.458 3.593 2.500
Ni 3.105 3.593 0.186
Ni 3.362 2.421 7.978
Ni 3.362 4.765 7.978
Ni 3.440 1.198 5.863
Ni 4.339 3.593 3.985
Ni 4.417 0.025 1.870
Ni 4.417 2.370 1.870
Ni 4.674 1.198 9.662
Ni 5.321 1.198 7.348
Ni 6.347 3.593 2.424
Ni 6.994 3.593 4.738
Ni 7.251 2.421 6.794
Ni 7.251 4.765 6.794
Ni 7.329 1.198 8.909
```